Entry 1:
The following is a calculated powder X-ray diffraction pattern of Si2SbRh8. It was derived from a structure optimized by DFT (GGA-PBE), using CuKα.
Kinematic intensities with the Lorentz-polarization factor, no thermal factor.

Crystal structure
```
data_Si2SbRh8
_space_group_name_H-M_alt 'P 1'
_space_group_IT_number 1
_cell_length_a 7.2037
_cell_length_b 7.2037
_cell_length_c 7.2037
_cell_angle_alpha 148.01
_cell_angle_beta 124.61
_cell_angle_gamma 65.41
loop_
_space_group_symop_operation_xyz
'x,y,z'
loop_
_atom_site_label
_atom_site_fract_x
_atom_site_fract_y
_atom_site_fract_z
Si1 0.1880 0.1880 0.0000
Si2 0.8120 0.8120 0.0000
Sb1 0.5000 0.5000 0.0000
Rh1 0.0475 0.3331 0.7145
Rh2 0.1917 0.0000 0.1917
Rh3 0.3531 0.8531 0.5000
Rh4 0.3814 0.6669 0.7145
Rh5 0.6186 0.3331 0.2855
Rh6 0.6469 0.1469 0.5000
Rh7 0.8083 0.0000 0.8083
Rh8 0.9525 0.6669 0.2855
```

Principal peaks in the range 2θ from 5° to 70°, sorted by position:
5.861 Å, intensity 8
2.975 Å, intensity 20
2.832 Å, intensity 9
2.267 Å, intensity 25
2.195 Å, intensity 19
2.162 Å, intensity 100
2.021 Å, intensity 22
1.985 Å, intensity 24
1.472 Å, intensity 10
1.416 Å, intensity 14


Entry 2:
The following is a calculated powder X-ray diffraction pattern of Sm2SiSbRh6. It was derived from a structure optimized by DFT (GGA-PBE), using CuKα.
Kinematic intensities with the Lorentz-polarization factor, no thermal factor.

Crystal structure
```
data_Sm2SiSbRh6
_space_group_name_H-M_alt 'P 1'
_space_group_IT_number 1
_cell_length_a 6.1802
_cell_length_b 6.2102
_cell_length_c 7.1517
_cell_angle_alpha 65.24
_cell_angle_beta 64.85
_cell_angle_gamma 60.34
loop_
_space_group_symop_operation_xyz
'x,y,z'
loop_
_atom_site_label
_atom_site_fract_x
_atom_site_fract_y
_atom_site_fract_z
Sm1 0.2454 0.2427 0.2638
Sm2 0.7546 0.7573 0.7362
Si1 0.5000 0.5000 0.5000
Sb1 0.0000 0.0000 0.0000
Rh1 0.1832 0.7389 0.3316
Rh2 0.2569 0.2594 0.6725
Rh3 0.2580 0.8229 0.6638
Rh4 0.7420 0.1771 0.3362
Rh5 0.7431 0.7406 0.3275
Rh6 0.8168 0.2611 0.6684
```

Principal peaks in the range 2θ from 5° to 70°, sorted by position:
6.242 Å, intensity 45
3.119 Å, intensity 39
2.602 Å, intensity 40
2.581 Å, intensity 41
2.566 Å, intensity 41
2.337 Å, intensity 47
2.327 Å, intensity 100
2.203 Å, intensity 19
2.081 Å, intensity 27
1.552 Å, intensity 18


Entry 3:
The following is a calculated powder X-ray diffraction pattern of Tb2Si2SbRh5. It was derived from a structure optimized by DFT (GGA-PBE), using CuKα.
Kinematic intensities with the Lorentz-polarization factor, no thermal factor.

Crystal structure
```
data_Tb2Si2SbRh5
_space_group_name_H-M_alt 'P 1'
_space_group_IT_number 1
_cell_length_a 9.8158
_cell_length_b 9.8158
_cell_length_c 3.5506
_cell_angle_alpha 90.00
_cell_angle_beta 90.00
_cell_angle_gamma 90.00
loop_
_space_group_symop_operation_xyz
'x,y,z'
loop_
_atom_site_label
_atom_site_fract_x
_atom_site_fract_y
_atom_site_fract_z
Tb1 0.1767 0.3233 0.0000
Tb2 0.3233 0.8233 0.0000
Tb3 0.6767 0.1767 0.0000
Tb4 0.8233 0.6767 0.0000
Si1 0.1200 0.6200 0.0000
Si2 0.3800 0.1200 0.0000
Si3 0.6200 0.8800 0.0000
Si4 0.8800 0.3800 0.0000
Sb1 0.0000 0.0000 0.0000
Sb2 0.5000 0.5000 0.0000
Rh1 0.0000 0.5000 0.5000
Rh2 0.0694 0.7826 0.5000
Rh3 0.2174 0.0694 0.5000
Rh4 0.2826 0.5694 0.5000
Rh5 0.4306 0.2826 0.5000
Rh6 0.5000 0.0000 0.5000
Rh7 0.5694 0.7174 0.5000
Rh8 0.7174 0.4306 0.5000
Rh9 0.7826 0.9306 0.5000
Rh10 0.9306 0.2174 0.5000
```

Principal peaks in the range 2θ from 5° to 70°, sorted by position:
2.761 Å, intensity 63
2.482 Å, intensity 36
2.381 Å, intensity 66
2.337 Å, intensity 100
2.195 Å, intensity 28
2.160 Å, intensity 30
1.775 Å, intensity 23
1.486 Å, intensity 17
1.423 Å, intensity 33
1.408 Å, intensity 22


Copy entry 3 word for word.
The following is a calculated powder X-ray diffraction pattern of Tb2Si2SbRh5. It was derived from a structure optimized by DFT (GGA-PBE), using CuKα.
Kinematic intensities with the Lorentz-polarization factor, no thermal factor.

Crystal structure
```
data_Tb2Si2SbRh5
_space_group_name_H-M_alt 'P 1'
_space_group_IT_number 1
_cell_length_a 9.8158
_cell_length_b 9.8158
_cell_length_c 3.5506
_cell_angle_alpha 90.00
_cell_angle_beta 90.00
_cell_angle_gamma 90.00
loop_
_space_group_symop_operation_xyz
'x,y,z'
loop_
_atom_site_label
_atom_site_fract_x
_atom_site_fract_y
_atom_site_fract_z
Tb1 0.1767 0.3233 0.0000
Tb2 0.3233 0.8233 0.0000
Tb3 0.6767 0.1767 0.0000
Tb4 0.8233 0.6767 0.0000
Si1 0.1200 0.6200 0.0000
Si2 0.3800 0.1200 0.0000
Si3 0.6200 0.8800 0.0000
Si4 0.8800 0.3800 0.0000
Sb1 0.0000 0.0000 0.0000
Sb2 0.5000 0.5000 0.0000
Rh1 0.0000 0.5000 0.5000
Rh2 0.0694 0.7826 0.5000
Rh3 0.2174 0.0694 0.5000
Rh4 0.2826 0.5694 0.5000
Rh5 0.4306 0.2826 0.5000
Rh6 0.5000 0.0000 0.5000
Rh7 0.5694 0.7174 0.5000
Rh8 0.7174 0.4306 0.5000
Rh9 0.7826 0.9306 0.5000
Rh10 0.9306 0.2174 0.5000
```

Principal peaks in the range 2θ from 5° to 70°, sorted by position:
2.761 Å, intensity 63
2.482 Å, intensity 36
2.381 Å, intensity 66
2.337 Å, intensity 100
2.195 Å, intensity 28
2.160 Å, intensity 30
1.775 Å, intensity 23
1.486 Å, intensity 17
1.423 Å, intensity 33
1.408 Å, intensity 22